# 1
For ErGaPt, a structure optimized by DFT (PBE) gives the computed powder X-ray diffraction pattern in this record (Cu Kα X-rays).
Intensities are scaled so that the largest is 100.

Crystal structure
Unit cell a=6.838 b=4.439 c=7.664 alpha=90.00 beta=90.00 gamma=90.00
Space group Pnma (No. 62)
Symmetry-distinct sites (fractional):
Er  0.015  0.250  0.197
Ga  0.176  0.250  0.572
Pt  0.221  0.750  0.399

Largest 10 diffraction maxima, sorted by position, 2θ from 10° to 90°:
hkl 1 0 2, 2θ 26.64, I 34; hkl 1 1 2, 2θ 33.56, I 29; hkl 2 1 1, 2θ 35.15, I 100; hkl 0 2 0, 2θ 40.65, I 31; hkl 0 1 3, 2θ 40.75, I 40; hkl 3 0 1, 2θ 41.33, I 12; hkl 3 0 2, 2θ 46.34, I 12; hkl 2 2 2, 2θ 54.82, I 12; hkl 3 1 4, 2θ 67.23, I 12; hkl 4 2 0, 2θ 69.44, I 15

=====

# 2
For CeCoSi, a structure optimized by DFT (PBE) gives the computed powder X-ray diffraction pattern in this record (Cu Kα X-rays).
Intensities are scaled so that the largest is 100.

Crystal structure
Unit cell a=4.000 b=4.000 c=6.828 alpha=90.00 beta=90.00 gamma=90.00
Space group P4/nmm (No. 129, origin choice 2)
Symmetry-distinct sites (fractional):
Ce  0.250  0.250  0.177
Co  0.250  0.750  0.500
Si  0.250  0.250  0.676

Largest 10 diffraction maxima, sorted by position, 2θ from 10° to 90°:
hkl 1 0 1, 2θ 25.81, I 100; hkl 1 1 0, 2θ 31.63, I 34; hkl 1 1 1, 2θ 34.31, I 61; hkl 1 0 2, 2θ 34.54, I 86; hkl 1 1 2, 2θ 41.46, I 78; hkl 2 0 0, 2θ 45.34, I 59; hkl 2 1 1, 2θ 52.91, I 29; hkl 2 1 2, 2θ 58.22, I 38; hkl 1 0 4, 2θ 58.82, I 27; hkl 2 0 3, 2θ 61.74, I 25

=====

# 3
For NdNiSb, a structure optimized by DFT (PBE) gives the computed powder X-ray diffraction pattern in this record (Cu Kα X-rays).
Intensities are scaled so that the largest is 100.

Crystal structure
Unit cell a=4.3782 b=4.3782 c=8.2119 alpha=90.00 beta=90.00 gamma=120.00
Space group P6_3/mmc (No. 194)
Symmetry-distinct sites (fractional):
Nd  0.0000  0.0000  0.0000
Ni  0.3333  0.6667  0.2500
Sb  0.3333  0.6667  0.7500

Largest 10 diffraction maxima, sorted by position, 2θ from 10° to 90°:
hkl 1 0 1, 2θ 25.88, I 7; hkl 1 0 2, 2θ 32.13, I 100; hkl 1 1 0, 2θ 41.24, I 49; hkl 0 0 4, 2θ 44.11, I 13; hkl 2 0 2, 2θ 53.22, I 24; hkl 1 1 4, 2θ 61.97, I 28; hkl 2 1 2, 2θ 69.47, I 21; hkl 1 0 6, 2θ 73.57, I 9; hkl 3 0 0, 2θ 75.17, I 8; hkl 2 0 6, 2θ 88.01, I 6

=====

# 4
For TiC6N9, a structure optimized by DFT (PBE) gives the computed powder X-ray diffraction pattern in this record (Cu Kα X-rays).
Intensities are scaled so that the largest is 100.

Crystal structure
Unit cell a=7.149 b=12.888 c=11.492 alpha=90.00 beta=90.00 gamma=90.00
Space group Cmcm (No. 63)
Symmetry-distinct sites (fractional):
Ti  0.000  0.225  0.250
C  0.159  0.113  0.750
C  0.159  0.353  0.592
N  0.000  0.066  0.750
N  0.000  0.374  0.545
N  0.191  0.163  0.130
N  0.191  0.349  0.250

Largest 10 diffraction maxima, sorted by position, 2θ from 10° to 90°:
hkl 0 2 0, 2θ 13.74, I 90; hkl 0 0 2, 2θ 15.42, I 57; hkl 1 1 1, 2θ 16.14, I 48; hkl 1 1 2, 2θ 21.00, I 46; hkl 1 3 1, 2θ 25.40, I 62; hkl 0 2 3, 2θ 27.08, I 100; hkl 1 1 3, 2θ 27.30, I 40; hkl 0 4 0, 2θ 27.69, I 27; hkl 0 4 1, 2θ 28.78, I 39; hkl 2 4 2, 2θ 40.85, I 18

=====

> What is the formula in the third record?

NdNiSb